Record 1
# Mg3Ni9PC2
Theoretical powder X-ray diffraction pattern, Cu Kα (weighted mean of Kα1 and Kα2). Input: DFT lattice parameters and positions (PBE).

Structure:
Unit cell a=5.2502 b=5.2502 c=7.6003 alpha=90.00 beta=90.00 gamma=120.00
Space group P-3m1 (No. 164)
Unique sites:
Mg (0.0000, 0.0000, 0.0000) x1
Mg (0.3333, 0.6667, 0.6166) x2
Ni (0.0000, 0.5000, 0.0000) x3
Ni (0.1633, 0.3266, 0.2849) x6
P (0.0000, 0.0000, 0.5000) x1
C (0.3333, 0.6667, 0.1494) x2

Top 12 peaks for 10 to 80 degrees two-theta, most intense first:
d_spacing, two_theta, I_rel
2.178, 41.46, 100
1.951, 46.55, 87
3.902, 22.79, 39
2.533, 35.43, 28
1.313, 71.94, 24
1.692, 54.21, 14
7.600, 11.64, 13
1.458, 63.85, 13
1.264, 75.19, 11
1.900, 47.87, 11
2.213, 40.77, 8
2.916, 30.66, 8


Record 2
# MgNiCS
Theoretical powder X-ray diffraction pattern, Cu Kα (weighted mean of Kα1 and Kα2). Input: DFT lattice parameters and positions (PBE).

Structure:
Unit cell a=3.4753 b=3.4753 c=14.8812 alpha=90.00 beta=90.00 gamma=120.00
Space group R3m (No. 160, hexagonal axes)
Unique sites:
Mg (0.0000, 0.0000, 0.0000) x3
Ni (0.0000, 0.0000, 0.2201) x3
C (0.0000, 0.0000, 0.5674) x3
S (0.0000, 0.0000, 0.4437) x3

Top 12 peaks for 10 to 80 degrees two-theta, most intense first:
d_spacing, two_theta, I_rel
2.340, 38.47, 100
2.950, 30.30, 95
2.116, 42.73, 84
1.738, 52.68, 64
4.960, 17.88, 51
1.395, 67.09, 18
1.343, 70.07, 17
1.653, 55.58, 17
1.582, 58.31, 16
1.640, 56.08, 12
1.497, 61.98, 11
2.480, 36.22, 8


Record 3
# Mg3CO6
Theoretical powder X-ray diffraction pattern, Cu Kα (weighted mean of Kα1 and Kα2). Input: DFT lattice parameters and positions (PBE).

Structure:
Unit cell a=8.304 b=10.649 c=4.434 alpha=90.00 beta=90.00 gamma=90.00
Space group Cmc2_1 (No. 36)
Unique sites:
Mg (0.000, 0.108, 0.000) x4
Mg (0.191, 0.380, 0.971) x8
C (0.000, 0.298, 0.424) x4
O (0.000, 0.294, 0.736) x4
O (0.000, 0.421, 0.308) x4
O (0.136, 0.240, 0.298) x8
O (0.169, 0.008, 0.737) x8

Top 12 peaks for 10 to 80 degrees two-theta, most intense first:
d_spacing, two_theta, I_rel
2.632, 34.06, 100
1.708, 53.67, 30
1.704, 53.81, 25
3.268, 27.29, 21
1.958, 46.37, 20
1.688, 54.35, 19
3.671, 24.24, 9
2.183, 41.36, 9
1.424, 65.53, 8
2.293, 39.29, 8
1.384, 67.69, 8
1.347, 69.84, 6


Record 4
# Mg3C2O7
Theoretical powder X-ray diffraction pattern, Cu Kα (weighted mean of Kα1 and Kα2). Input: DFT lattice parameters and positions (PBE).

Structure:
Unit cell a=8.945 b=8.945 c=8.168 alpha=90.00 beta=90.00 gamma=90.00
Space group I-42m (No. 121)
Unique sites:
Mg (0.000, 0.283, 0.000) x8
Mg (0.000, 0.500, 0.250) x4
C (0.246, 0.246, 0.724) x8
O (0.000, 0.500, 0.000) x4
O (0.121, 0.298, 0.778) x16
O (0.180, 0.180, 0.111) x8

Top 12 peaks for 10 to 80 degrees two-theta, most intense first:
d_spacing, two_theta, I_rel
6.325, 14.00, 100
6.032, 14.69, 54
3.593, 24.78, 40
2.501, 35.91, 28
1.873, 48.60, 11
1.943, 46.75, 10
3.016, 29.62, 10
2.251, 40.06, 10
2.236, 40.33, 10
2.042, 44.36, 10
4.473, 19.85, 9
1.331, 70.81, 9


Record 5
# Mg3SnC4O12
Theoretical powder X-ray diffraction pattern, Cu Kα (weighted mean of Kα1 and Kα2). Input: DFT lattice parameters and positions (PBE).

Structure:
Unit cell a=9.6813 b=9.6813 c=8.0227 alpha=90.00 beta=90.00 gamma=120.00
Space group R32 (No. 155, hexagonal axes)
Unique sites:
Mg (0.0000, 0.5452, 0.0000) x9
Sn (0.0000, 0.0000, 0.0000) x3
C (0.0000, 0.0000, 0.5000) x3
C (0.0000, 0.4549, 0.5000) x9
O (0.0000, 0.5897, 0.5000) x9
O (0.0000, 0.8656, 0.5000) x9
O (0.0100, 0.2109, 0.1901) x18

Top 12 peaks for 10 to 80 degrees two-theta, most intense first:
d_spacing, two_theta, I_rel
2.898, 30.85, 100
5.797, 15.29, 44
2.487, 36.12, 28
2.947, 30.33, 27
4.841, 18.33, 26
1.795, 50.88, 23
2.233, 40.38, 22
3.715, 23.95, 21
1.809, 50.44, 19
2.420, 37.15, 18
2.341, 38.46, 17
3.619, 24.60, 16


Record 6
# YMg6CO8
Theoretical powder X-ray diffraction pattern, Cu Kα (weighted mean of Kα1 and Kα2). Input: DFT lattice parameters and positions (PBE).

Structure:
Unit cell a=4.286 b=4.286 c=9.539 alpha=90.00 beta=90.00 gamma=90.00
Space group P4/mmm (No. 123)
Unique sites:
Y (0.000, 0.000, 0.000) x1
Mg (0.000, 0.500, 0.279) x4
Mg (0.500, 0.500, 0.000) x1
Mg (0.500, 0.500, 0.500) x1
C (0.000, 0.000, 0.500) x1
O (0.000, 0.000, 0.234) x2
O (0.000, 0.500, 0.000) x2
O (0.000, 0.500, 0.500) x2
O (0.500, 0.500, 0.264) x2

Top 12 peaks for 10 to 80 degrees two-theta, most intense first:
d_spacing, two_theta, I_rel
2.143, 42.16, 100
2.385, 37.72, 60
1.594, 57.85, 58
3.910, 22.74, 53
2.557, 35.09, 40
2.889, 30.96, 32
3.183, 28.04, 30
1.515, 61.16, 29
1.279, 74.13, 25
1.777, 51.41, 17
1.615, 57.04, 15
1.879, 48.44, 14


Record 7
# Pm8MgC4
Theoretical powder X-ray diffraction pattern, Cu Kα (weighted mean of Kα1 and Kα2). Input: DFT lattice parameters and positions (PBE).

Structure:
Unit cell a=18.422 b=3.687 c=12.646 alpha=90.00 beta=131.79 gamma=90.00
Space group C2/m (No. 12)
Unique sites:
Pm (0.043, 0.000, 0.232) x4
Pm (0.137, 0.500, 0.095) x4
Pm (0.163, 0.500, 0.843) x4
Pm (0.202, 0.500, 0.562) x4
Mg (0.000, 0.000, 0.500) x2
C (0.152, 0.000, 0.970) x4
C (0.170, 0.500, 0.333) x4

Top 12 peaks for 10 to 80 degrees two-theta, most intense first:
d_spacing, two_theta, I_rel
2.872, 31.15, 100
2.775, 32.26, 98
3.058, 29.20, 88
1.826, 49.95, 39
2.901, 30.82, 38
2.700, 33.19, 37
1.579, 58.45, 27
3.112, 28.69, 25
3.142, 28.41, 24
1.843, 49.44, 21
3.156, 28.28, 21
1.685, 54.45, 21


Record 8
# Pm2MgC
Theoretical powder X-ray diffraction pattern, Cu Kα (weighted mean of Kα1 and Kα2). Input: DFT lattice parameters and positions (PBE).

Structure:
Unit cell a=3.6322 b=3.6322 c=26.8519 alpha=90.00 beta=90.00 gamma=120.00
Space group R3m (No. 160, hexagonal axes)
Unique sites:
Pm (0.0000, 0.0000, 0.0000) x3
Pm (0.0000, 0.0000, 0.2279) x3
Mg (0.0000, 0.0000, 0.7797) x3
C (0.0000, 0.0000, 0.6139) x3

Top 12 peaks for 10 to 80 degrees two-theta, most intense first:
d_spacing, two_theta, I_rel
2.848, 31.41, 100
2.714, 33.00, 90
3.124, 28.57, 62
2.984, 29.95, 43
2.295, 39.25, 42
1.551, 59.60, 37
1.816, 50.24, 35
1.727, 53.04, 28
1.411, 66.24, 17
2.042, 44.36, 16
1.531, 60.46, 16
1.509, 61.43, 15


Record 9
# PmMg2Ru2C
Theoretical powder X-ray diffraction pattern, Cu Kα (weighted mean of Kα1 and Kα2). Input: DFT lattice parameters and positions (PBE).

Structure:
Unit cell a=4.177 b=4.177 c=5.914 alpha=90.00 beta=90.00 gamma=90.00
Space group P4/mmm (No. 123)
Unique sites:
Pm (0.000, 0.000, 0.000) x1
Mg (0.500, 0.500, 0.235) x2
Ru (0.000, 0.500, 0.500) x2
C (0.000, 0.000, 0.500) x1

Top 12 peaks for 10 to 80 degrees two-theta, most intense first:
d_spacing, two_theta, I_rel
2.642, 33.93, 100
2.089, 43.32, 40
2.957, 30.22, 28
2.414, 37.26, 28
3.412, 26.12, 28
1.706, 53.73, 21
1.640, 56.09, 21
1.289, 73.46, 21
1.477, 62.91, 17
4.177, 21.27, 15
1.782, 51.27, 15
1.579, 58.44, 14


Record 10
# Pr6Mg2C
Theoretical powder X-ray diffraction pattern, Cu Kα (weighted mean of Kα1 and Kα2). Input: DFT lattice parameters and positions (PBE).

Structure:
Unit cell a=12.685 b=7.333 c=7.333 alpha=90.00 beta=125.32 gamma=90.00
Space group C2/m (No. 12)
Unique sites:
Pr (0.001, 0.242, 0.258) x8
Pr (0.243, 0.000, 0.744) x4
Mg (0.250, 0.000, 0.250) x4
C (0.000, 0.000, 0.500) x2

Top 12 peaks for 10 to 80 degrees two-theta, most intense first:
d_spacing, two_theta, I_rel
2.992, 29.87, 100
2.591, 34.62, 53
1.562, 59.13, 42
1.832, 49.77, 37
5.182, 17.11, 22
3.664, 24.29, 15
1.496, 62.04, 13
2.317, 38.86, 11
2.115, 42.74, 7
1.727, 53.01, 5
1.296, 72.98, 4
1.385, 67.65, 3


Record 11
# Mg2PtC2
Theoretical powder X-ray diffraction pattern, Cu Kα (weighted mean of Kα1 and Kα2). Input: DFT lattice parameters and positions (PBE).

Structure:
Unit cell a=6.499 b=6.499 c=3.052 alpha=90.00 beta=90.00 gamma=90.00
Space group P4/mbm (No. 127)
Unique sites:
Mg (0.222, 0.278, 0.000) x4
Pt (0.000, 0.000, 0.500) x2
C (0.071, 0.571, 0.500) x4

Top 12 peaks for 10 to 80 degrees two-theta, most intense first:
d_spacing, two_theta, I_rel
4.595, 19.32, 100
2.225, 40.55, 69
2.542, 35.31, 49
3.249, 27.45, 37
2.298, 39.21, 36
1.705, 53.78, 33
2.055, 44.07, 32
1.312, 71.97, 21
3.052, 29.26, 17
1.836, 49.67, 15
1.225, 77.99, 12
1.271, 74.67, 11


Record 12
# RbMg6C
Theoretical powder X-ray diffraction pattern, Cu Kα (weighted mean of Kα1 and Kα2). Input: DFT lattice parameters and positions (PBE).

Structure:
Unit cell a=3.312 b=8.287 c=14.445 alpha=90.00 beta=90.00 gamma=90.00
Space group Amm2 (No. 38)
Unique sites:
Rb (0.000, 0.000, 0.000) x2
Mg (0.000, 0.000, 0.447) x2
Mg (0.000, 0.174, 0.788) x4
Mg (0.500, 0.000, 0.250) x2
Mg (0.500, 0.168, 0.623) x4
C (0.500, 0.000, 0.754) x2

Top 12 peaks for 10 to 80 degrees two-theta, most intense first:
d_spacing, two_theta, I_rel
2.437, 36.88, 100
3.010, 29.68, 76
2.725, 32.87, 73
7.191, 12.31, 56
3.594, 24.77, 37
2.713, 33.01, 34
2.591, 34.62, 30
4.163, 21.34, 28
1.941, 46.79, 28
4.144, 21.45, 23
3.611, 24.65, 23
1.416, 66.00, 22